# CeBIrRh
Theoretical X-ray diffraction stick pattern, Cu Ka. Input: a crystal structure in Alexandria, relaxed with PBE.
Intensities are scaled so that the largest is 100.

Top 10 peaks for 10° ≤ 2θ ≤ 90°, by angle:
2θ/deg, I_rel
19.27, 10.2
33.40, 100.0
37.37, 69.4
37.99, 66.8
46.94, 20.8
48.96, 18.3
61.91, 32.0
63.17, 29.9
70.16, 12.4
70.68, 16.4

Cell and atoms:
Cell lengths 3.7212, 3.8715, 9.2136 Å; angles 90.00, 90.00, 90.00 degrees
Atoms (fractional coordinates):
Ce (0.0000, 0.0000, 0.0000)
Ce (0.5000, 0.5000, 0.5000)
B (0.0000, 0.5000, 0.2483)
B (0.5000, 0.0000, 0.7483)
Ir (0.0000, 0.0000, 0.6429)
Ir (0.5000, 0.5000, 0.1429)
Rh (0.0000, 0.0000, 0.3494)
Rh (0.5000, 0.5000, 0.8494)

# Pm8CuSi2
Theoretical X-ray diffraction stick pattern, Cu Ka. Input: a crystal structure in Alexandria, relaxed with PBE.
Intensities are scaled so that the largest is 100.

Top 10 peaks for 10° ≤ 2θ ≤ 90°, by angle:
2θ/deg, I_rel
23.35, 23.0
28.66, 57.8
28.81, 31.8
28.94, 26.2
30.41, 54.5
30.77, 39.5
31.92, 100.0
33.90, 33.0
37.10, 60.0
47.67, 26.9

Cell and atoms:
Cell lengths 9.8325, 9.8325, 6.8873 Å; angles 103.62, 103.62, 28.54 degrees
Atoms (fractional coordinates):
Pm (0.0230, 0.0230, 0.2849)
Pm (0.2144, 0.2144, 0.8265)
Pm (0.3409, 0.3409, 0.5083)
Pm (0.4047, 0.4047, 0.0200)
Pm (0.5953, 0.5953, 0.9800)
Pm (0.6591, 0.6591, 0.4917)
Pm (0.7856, 0.7856, 0.1735)
Pm (0.9770, 0.9770, 0.7151)
Cu (0.5000, 0.5000, 0.5000)
Si (0.1820, 0.1820, 0.2457)
Si (0.8180, 0.8180, 0.7543)